Entry 1:
Simulated powder diffraction line list of AcTmTlHg for Cu Kα, from a PBE-relaxed structure.

Structural model:
Cell: 3.8608 3.8608 7.9627 Å, 90.00 90.00 90.00°
Positions (direct):
Ac 0.0000 0.0000 0.0000
Tm 0.0000 0.0000 0.4806
Tl 0.5000 0.5000 0.7121
Hg 0.5000 0.5000 0.2830

Main lines, in order of rising 2θ (10 to 90 degrees two-theta):
32.30°, rel. 100
32.81°, rel. 54
47.08°, rel. 20
57.28°, rel. 14
58.24°, rel. 38
67.60°, rel. 9
78.04°, rel. 8
78.31°, rel. 9

Entry 2:
Simulated powder diffraction line list of Ac2TlZn4Hg3 for Cu Kα, from a PBE-relaxed structure.

Structural model:
Cell: 4.7443 4.7443 10.8536 Å, 90.00 90.00 90.00°
Positions (direct):
Ac 0.0000 0.5000 0.2417
Ac 0.5000 0.0000 0.7583
Tl 0.0000 0.0000 0.5000
Zn 0.0000 0.0000 0.0000
Zn 0.0000 0.5000 0.6368
Zn 0.5000 0.0000 0.3632
Zn 0.5000 0.5000 0.0000
Hg 0.0000 0.5000 0.8764
Hg 0.5000 0.0000 0.1236
Hg 0.5000 0.5000 0.5000

Main lines, in order of rising 2θ (10 to 90 degrees two-theta):
27.84°, rel. 30
31.09°, rel. 66
31.35°, rel. 100
37.93°, rel. 71
45.97°, rel. 28
49.82°, rel. 36
54.72°, rel. 25
64.43°, rel. 26

Entry 3:
Simulated powder diffraction line list of Ac2Tm3Hg4 for Cu Kα, from a PBE-relaxed structure.

Structural model:
Cell: 9.6632 9.6632 8.4095 Å, 90.00 90.00 136.75°
Positions (direct):
Ac 0.0990 0.9010 0.9070
Ac 0.4010 0.5990 0.4070
Ac 0.5990 0.4010 0.5930
Ac 0.9010 0.0990 0.0930
Tm 0.0000 0.0000 0.5000
Tm 0.0160 0.4840 0.7500
Tm 0.4840 0.0160 0.2500
Tm 0.5000 0.5000 0.0000
Tm 0.5160 0.9840 0.7500
Tm 0.9840 0.5160 0.2500
Hg 0.1734 0.8266 0.5275
Hg 0.1867 0.3133 0.7500
Hg 0.3133 0.1867 0.2500
Hg 0.3266 0.6734 0.0275
Hg 0.6734 0.3266 0.9725
Hg 0.6867 0.8133 0.7500
Hg 0.8133 0.6867 0.2500
Hg 0.8266 0.1734 0.4725

Main lines, in order of rising 2θ (10 to 90 degrees two-theta):
28.81°, rel. 22
28.98°, rel. 54
29.81°, rel. 83
32.96°, rel. 100
33.49°, rel. 39
36.85°, rel. 32
47.13°, rel. 23
59.68°, rel. 29

Entry 4:
Simulated powder diffraction line list of Ac2TmHg10 for Cu Kα, from a PBE-relaxed structure.

Structural model:
Cell: 10.9635 13.3255 5.8779 Å, 90.00 90.00 90.00°
Positions (direct):
Ac 0.1313 0.1701 0.0000
Ac 0.3687 0.6701 0.0000
Ac 0.6313 0.3299 0.0000
Ac 0.8687 0.8299 0.0000
Tm 0.0000 0.5000 0.5000
Tm 0.5000 0.0000 0.5000
Hg 0.0311 0.8848 0.5000
Hg 0.0888 0.6854 0.2434
Hg 0.0888 0.6854 0.7566
Hg 0.1891 0.3185 0.5000
Hg 0.2285 0.0382 0.5000
Hg 0.2715 0.5382 0.5000
Hg 0.3109 0.8185 0.5000
Hg 0.4112 0.1854 0.2434
Hg 0.4112 0.1854 0.7566
Hg 0.4689 0.3848 0.5000
Hg 0.5311 0.6152 0.5000
Hg 0.5888 0.8146 0.2434
Hg 0.5888 0.8146 0.7566
Hg 0.6891 0.1815 0.5000
Hg 0.7285 0.4618 0.5000
Hg 0.7715 0.9618 0.5000
Hg 0.8109 0.6815 0.5000
Hg 0.9112 0.3146 0.2434
Hg 0.9112 0.3146 0.7566
Hg 0.9689 0.1152 0.5000

Main lines, in order of rising 2θ (10 to 90 degrees two-theta):
15.07°, rel. 53
31.94°, rel. 44
33.36°, rel. 39
34.64°, rel. 26
35.29°, rel. 100
36.16°, rel. 26
36.50°, rel. 39
37.60°, rel. 38

Entry 5:
Simulated powder diffraction line list of AcTmHg3 for Cu Kα, from a PBE-relaxed structure.

Structural model:
Cell: 14.8758 14.8758 5.0031 Å, 90.00 90.00 165.41°
Positions (direct):
Ac 0.0779 0.9221 0.7500
Ac 0.9221 0.0779 0.2500
Tm 0.2100 0.7900 0.2500
Tm 0.7900 0.2100 0.7500
Hg 0.3121 0.6879 0.2500
Hg 0.3729 0.6271 0.7500
Hg 0.4747 0.5253 0.7500
Hg 0.5253 0.4747 0.2500
Hg 0.6271 0.3729 0.2500
Hg 0.6879 0.3121 0.7500

Main lines, in order of rising 2θ (10 to 90 degrees two-theta):
31.03°, rel. 100
31.81°, rel. 33
35.31°, rel. 62
35.90°, rel. 40
40.65°, rel. 23
48.71°, rel. 20
61.13°, rel. 26
61.51°, rel. 32

Entry 6:
Simulated powder diffraction line list of Ac6Zn2Hg for Cu Kα, from a PBE-relaxed structure.

Structural model:
Cell: 9.4652 9.4652 9.4652 Å, 111.09 110.67 106.69°
Positions (direct):
Ac 0.0529 0.2469 0.8061
Ac 0.1784 0.2696 0.4480
Ac 0.1784 0.7304 0.9087
Ac 0.3244 0.0270 0.7026
Ac 0.3244 0.6218 0.2974
Ac 0.4408 0.2469 0.1939
Ac 0.5592 0.7531 0.8061
Ac 0.6756 0.3782 0.7026
Ac 0.6756 0.9730 0.2974
Ac 0.8216 0.2696 0.0913
Ac 0.8216 0.7304 0.5520
Ac 0.9471 0.7531 0.1939
Zn 0.1157 0.6157 0.5000
Zn 0.3550 0.0000 0.3550
Zn 0.6450 0.0000 0.6450
Zn 0.8843 0.3843 0.5000
Hg 0.0000 0.0000 0.0000
Hg 0.5000 0.5000 0.0000

Main lines, in order of rising 2θ (10 to 90 degrees two-theta):
25.04°, rel. 19
26.30°, rel. 25
28.32°, rel. 100
30.17°, rel. 35
30.67°, rel. 49
31.03°, rel. 46
33.47°, rel. 29
52.31°, rel. 25

Entry 7:
Simulated powder diffraction line list of Ac2Zn7Hg for Cu Kα, from a PBE-relaxed structure.

Structural model:
Cell: 4.5606 4.5606 10.4824 Å, 90.00 90.00 90.00°
Positions (direct):
Ac 0.0000 0.5000 0.2434
Ac 0.5000 0.0000 0.7566
Zn 0.0000 0.0000 0.0000
Zn 0.0000 0.5000 0.6409
Zn 0.0000 0.5000 0.8793
Zn 0.5000 0.0000 0.1207
Zn 0.5000 0.0000 0.3591
Zn 0.5000 0.5000 0.0000
Zn 0.5000 0.5000 0.5000
Hg 0.0000 0.0000 0.5000

Main lines, in order of rising 2θ (10 to 90 degrees two-theta):
21.25°, rel. 25
32.28°, rel. 53
32.60°, rel. 100
39.52°, rel. 51
47.75°, rel. 20
51.91°, rel. 28
63.65°, rel. 17
67.34°, rel. 25

Entry 8:
Simulated powder diffraction line list of AcZn2Hg for Cu Kα, from a PBE-relaxed structure.

Structural model:
Cell: 6.0988 6.0988 6.8849 Å, 90.00 90.00 131.73°
Positions (direct):
Ac 0.1052 0.8948 0.7500
Ac 0.8948 0.1052 0.2500
Zn 0.3910 0.6090 0.5645
Zn 0.3910 0.6090 0.9355
Zn 0.6090 0.3910 0.0645
Zn 0.6090 0.3910 0.4355
Hg 0.2011 0.7989 0.2500
Hg 0.7989 0.2011 0.7500

Main lines, in order of rising 2θ (10 to 90 degrees two-theta):
25.88°, rel. 33
32.61°, rel. 70
32.78°, rel. 100
36.02°, rel. 45
40.04°, rel. 36
50.95°, rel. 26
62.67°, rel. 27
76.21°, rel. 26

Entry 9:
Simulated powder diffraction line list of Ac2Zn3Hg for Cu Kα, from a PBE-relaxed structure.

Structural model:
Cell: 9.5804 9.2139 6.2488 Å, 73.78 67.44 38.78°
Positions (direct):
Ac 0.2447 0.7553 0.7553
Ac 0.2500 0.2500 0.2500
Ac 0.7500 0.7500 0.7500
Ac 0.7553 0.2447 0.2447
Zn 0.1781 0.6603 0.3397
Zn 0.3394 0.3394 0.6606
Zn 0.3397 0.8219 0.1781
Zn 0.6603 0.1781 0.8219
Zn 0.6606 0.6606 0.3394
Zn 0.8219 0.3397 0.6603
Hg 0.1674 0.1674 0.8326
Hg 0.8326 0.8326 0.1674

Main lines, in order of rising 2θ (10 to 90 degrees two-theta):
21.42°, rel. 16
31.01°, rel. 100
37.55°, rel. 52
45.23°, rel. 10
49.47°, rel. 28
60.19°, rel. 27
63.72°, rel. 26
88.37°, rel. 11

Entry 10:
Simulated powder diffraction line list of AcHo3In4 for Cu Kα, from a PBE-relaxed structure.

Structural model:
Cell: 10.9256 7.4128 5.6096 Å, 90.00 90.00 90.00°
Positions (direct):
Ac 0.0000 0.0000 0.0000
Ac 0.5000 0.0000 0.0000
Ho 0.0000 0.5000 0.0000
Ho 0.2500 0.0000 0.4427
Ho 0.2500 0.5000 0.4124
Ho 0.5000 0.5000 0.0000
Ho 0.7500 0.0000 0.5573
Ho 0.7500 0.5000 0.5876
In 0.0000 0.2711 0.5000
In 0.0000 0.7289 0.5000
In 0.2500 0.2709 0.9102
In 0.2500 0.7291 0.9102
In 0.5000 0.2711 0.5000
In 0.5000 0.7289 0.5000
In 0.7500 0.2709 0.0898
In 0.7500 0.7291 0.0898

Main lines, in order of rising 2θ (10 to 90 degrees two-theta):
31.91°, rel. 20
32.79°, rel. 30
32.97°, rel. 9
33.29°, rel. 100
46.40°, rel. 14
49.16°, rel. 9
58.85°, rel. 19
60.36°, rel. 10

Entry 11:
Simulated powder diffraction line list of Ac2Ho2In3 for Cu Kα, from a PBE-relaxed structure.

Structural model:
Cell: 13.2755 13.2755 3.5842 Å, 90.00 90.00 159.51°
Positions (direct):
Ac 0.0766 0.9234 0.0000
Ac 0.9234 0.0766 0.0000
Ho 0.2072 0.7928 0.0000
Ho 0.7928 0.2072 0.0000
In 0.3372 0.6628 0.5000
In 0.5000 0.5000 0.5000
In 0.6628 0.3372 0.5000

Main lines, in order of rising 2θ (10 to 90 degrees two-theta):
30.53°, rel. 100
31.52°, rel. 93
32.35°, rel. 49
37.25°, rel. 18
38.12°, rel. 34
39.75°, rel. 22
50.84°, rel. 28
60.58°, rel. 29

Entry 12:
Simulated powder diffraction line list of Ac3HoIn4 for Cu Kα, from a PBE-relaxed structure.

Structural model:
Cell: 3.9641 3.9641 16.5069 Å, 90.00 90.00 90.00°
Positions (direct):
Ac 0.0000 0.0000 0.0000
Ac 0.0000 0.0000 0.2636
Ac 0.0000 0.0000 0.7364
Ho 0.0000 0.0000 0.5000
In 0.5000 0.5000 0.1327
In 0.5000 0.5000 0.3980
In 0.5000 0.5000 0.6020
In 0.5000 0.5000 0.8673

Main lines, in order of rising 2θ (10 to 90 degrees two-theta):
22.43°, rel. 9
31.29°, rel. 100
31.93°, rel. 53
45.78°, rel. 20
55.28°, rel. 14
56.50°, rel. 38
65.28°, rel. 9
75.90°, rel. 9

Entry 13:
Simulated powder diffraction line list of Ac2Ho3In4 for Cu Kα, from a PBE-relaxed structure.

Structural model:
Cell: 8.5604 8.5208 8.2466 Å, 90.00 108.30 90.00°
Positions (direct):
Ac 0.1896 0.1745 0.0665
Ac 0.1896 0.3255 0.5665
Ac 0.8104 0.6745 0.4335
Ac 0.8104 0.8255 0.9335
Ho 0.2494 0.6705 0.2490
Ho 0.2494 0.8295 0.7490
Ho 0.5000 0.0000 0.5000
Ho 0.5000 0.5000 0.0000
Ho 0.7506 0.1705 0.2510
Ho 0.7506 0.3295 0.7510
In 0.0814 0.5402 0.8643
In 0.0814 0.9598 0.3643
In 0.4989 0.1242 0.8701
In 0.4989 0.3758 0.3701
In 0.5011 0.6242 0.6299
In 0.5011 0.8758 0.1299
In 0.9186 0.0402 0.6357
In 0.9186 0.4598 0.1357

Main lines, in order of rising 2θ (10 to 90 degrees two-theta):
27.70°, rel. 38
28.24°, rel. 47
29.93°, rel. 100
30.16°, rel. 93
30.40°, rel. 84
33.07°, rel. 34
33.56°, rel. 58
34.27°, rel. 75